(1)
Calculated powder diffraction line list
Compound: ErNb5Ru6
Radiation: Cu Kα
Structure: a structure optimized by DFT (GGA-PBE)

Atomic structure:
```
data_ErNb5Ru6
_space_group_name_H-M_alt 'C m m m'
_space_group_IT_number 65
_space_group_name_Hall '-C 2 2'
_cell_length_a 4.431
_cell_length_b 13.321
_cell_length_c 6.783
_cell_angle_alpha 90.00
_cell_angle_beta 90.00
_cell_angle_gamma 90.00
loop_
_atom_site_label
_atom_site_fract_x
_atom_site_fract_y
_atom_site_fract_z
_atom_site_occupancy
Er1 0.000 0.000 0.000 1
Nb1 0.000 0.000 0.500 1
Nb2 0.000 0.321 0.000 1
Nb3 0.000 0.334 0.500 1
Ru1 0.000 0.170 0.274 1
Ru2 0.000 0.500 0.267 1
```

Principal peaks in the range 2θ = 10–80°, in order of falling intensity:
index  two_theta  I (rel.)
1 3 2  39.12  100
2 0 0  40.68  46
2 0 4  69.82  16
3 3 2  73.05  15
2 6 0  58.89  15
1 9 2  72.93  14
0 0 4  54.09  9
1 3 1  31.42  3
2 0 3  58.28  2
1 3 5  76.50  2

---

(2)
Calculated powder diffraction line list
Compound: Mg2H5Ir2
Radiation: Cu Kα
Structure: a structure optimized by DFT (GGA-PBE)

Atomic structure:
```
data_Mg2H5Ir2
_space_group_name_H-M_alt 'P 1'
_space_group_IT_number 1
_space_group_name_Hall 'P 1'
_cell_length_a 3.243
_cell_length_b 3.573
_cell_length_c 7.142
_cell_angle_alpha 89.93
_cell_angle_beta 89.97
_cell_angle_gamma 89.98
loop_
_atom_site_label
_atom_site_fract_x
_atom_site_fract_y
_atom_site_fract_z
_atom_site_occupancy
Mg1 0.000 0.000 0.000 1
Mg2 0.001 0.001 0.547 1
H1 0.001 0.446 0.272 1
H2 0.501 0.070 0.274 1
H3 0.502 0.519 0.022 1
H4 0.502 0.520 0.526 1
H5 0.503 0.999 0.774 1
Ir1 0.501 0.489 0.774 1
Ir2 0.501 0.590 0.274 1
```

Principal peaks in the range 2θ = 10–80°, in order of falling intensity:
index  two_theta  I (rel.)
1 0 2  37.45  100
0 0 2  24.93  84
0 1 2  35.54  54
1 0 0  27.50  35
1 1 -4  65.09  32
1 1 2  45.52  32
0 0 4  51.14  18
2 1 2  68.79  16
1 0 4  59.05  14
0 1 4  57.71  14

---

(3)
Calculated powder diffraction line list
Compound: Dy11Tl9Cd4
Radiation: Cu Kα
Structure: a structure optimized by DFT (GGA-PBE)

Atomic structure:
```
data_Dy11Tl9Cd4
_space_group_name_H-M_alt 'C m m m'
_space_group_IT_number 65
_space_group_name_Hall '-C 2 2'
_cell_length_a 15.542
_cell_length_b 22.540
_cell_length_c 3.703
_cell_angle_alpha 90.00
_cell_angle_beta 90.00
_cell_angle_gamma 90.00
loop_
_atom_site_label
_atom_site_fract_x
_atom_site_fract_y
_atom_site_fract_z
_atom_site_occupancy
Dy1 0.000 0.000 0.000 1
Dy2 0.000 0.178 0.000 1
Dy3 0.000 0.365 0.000 1
Dy4 0.236 0.173 0.000 1
Dy5 0.241 0.000 0.000 1
Tl1 0.000 0.500 0.500 1
Tl2 0.115 0.268 0.500 1
Tl3 0.117 0.088 0.500 1
Cd1 0.154 0.412 0.500 1
```

Principal peaks in the range 2θ = 10–80°, in order of falling intensity:
index  two_theta  I (rel.)
4 0 1  33.43  100
4 6 0  33.17  100
0 6 1  33.99  83
1 5 1  31.80  41
4 6 2  60.64  36
5 11 1  59.52  25
0 0 2  49.21  24
5 5 0  35.07  22
8 6 1  59.06  22
9 5 1  62.86  20

---

(4)
Calculated powder diffraction line list
Compound: Ag4I3F2
Radiation: Cu Kα
Structure: a structure optimized by DFT (GGA-PBE)

Atomic structure:
```
data_Ag4I3F2
_space_group_name_H-M_alt 'C 1 2/m 1'
_space_group_IT_number 12
_space_group_name_Hall '-C 2y'
_cell_length_a 13.080
_cell_length_b 3.864
_cell_length_c 8.584
_cell_angle_alpha 90.00
_cell_angle_beta 105.91
_cell_angle_gamma 90.00
loop_
_atom_site_label
_atom_site_fract_x
_atom_site_fract_y
_atom_site_fract_z
_atom_site_occupancy
Ag1 0.065 0.000 0.180 1
Ag2 0.181 0.500 0.622 1
I1 0.000 0.000 0.500 1
I2 0.122 0.500 0.924 1
F1 0.194 0.500 0.345 1
```

Principal peaks in the range 2θ = 10–80°, in order of falling intensity:
index  two_theta  I (rel.)
3 1 0  31.48  100
2 0 -3  31.72  83
1 1 3  42.52  58
1 1 1  27.23  58
3 1 -2  34.85  54
4 0 1  33.15  47
0 2 0  47.03  31
2 2 -3  57.85  28
3 1 1  35.26  26
1 1 -6  71.19  22

---

(5)
Calculated powder diffraction line list
Compound: PrBi3Pb
Radiation: Cu Kα
Structure: a structure optimized by DFT (GGA-PBE)

Atomic structure:
```
data_PrBi3Pb
_space_group_name_H-M_alt 'P b c m'
_space_group_IT_number 57
_space_group_name_Hall '-P 2c 2b'
_cell_length_a 14.832
_cell_length_b 6.480
_cell_length_c 6.762
_cell_angle_alpha 90.00
_cell_angle_beta 90.00
_cell_angle_gamma 90.00
loop_
_atom_site_label
_atom_site_fract_x
_atom_site_fract_y
_atom_site_fract_z
_atom_site_occupancy
Pr1 0.174 0.001 0.250 1
Bi1 0.001 0.250 0.000 1
Bi2 0.218 0.506 0.250 1
Bi3 0.401 0.725 0.750 1
Pb1 0.386 0.250 0.000 1
```

Principal peaks in the range 2θ = 10–80°, in order of falling intensity:
index  two_theta  I (rel.)
5 0 0  30.11  100
3 2 0  33.06  45
2 1 2  32.21  37
3 0 2  32.07  32
2 0 2  29.03  31
5 0 4  63.32  26
3 1 2  35.01  26
0 2 2  38.48  24
1 1 2  30.42  19
5 2 2  49.63  16

---

(6)
Calculated powder diffraction line list
Compound: TbPr2SmY2
Radiation: Cu Kα
Structure: a structure optimized by DFT (GGA-PBE)

Atomic structure:
```
data_TbPr2SmY2
_space_group_name_H-M_alt 'P n n m'
_space_group_IT_number 58
_space_group_name_Hall '-P 2 2n'
_cell_length_a 6.690
_cell_length_b 18.206
_cell_length_c 3.418
_cell_angle_alpha 90.00
_cell_angle_beta 90.00
_cell_angle_gamma 90.00
loop_
_atom_site_label
_atom_site_fract_x
_atom_site_fract_y
_atom_site_fract_z
_atom_site_occupancy
Tb1 0.000 0.000 0.000 1
Pr1 0.229 0.184 0.000 1
Sm1 0.000 0.500 0.000 1
Y1 0.227 0.353 0.500 1
```

Principal peaks in the range 2θ = 10–80°, in order of falling intensity:
index  two_theta  I (rel.)
0 6 0  29.41  100
2 2 0  28.43  99
0 3 1  30.00  55
2 4 0  33.24  52
2 3 1  40.56  48
1 2 1  30.98  45
1 4 1  35.48  40
2 4 2  64.56  28
1 6 1  42.04  24
0 1 1  26.53  22

---

(7)
Calculated powder diffraction line list
Compound: KNaSmTaO5
Radiation: Cu Kα
Structure: a structure optimized by DFT (GGA-PBE)

Atomic structure:
```
data_KNaSmTaO5
_space_group_name_H-M_alt 'P 4/n m m'
_space_group_IT_number 129
_cell_length_a 5.744
_cell_length_b 5.744
_cell_length_c 8.357
_cell_angle_alpha 90.00
_cell_angle_beta 90.00
_cell_angle_gamma 90.00
loop_
_space_group_symop_operation_xyz
'x,y,z'
'-x,-y,-z'
'-y+1/2,x,z'
'y+1/2,-x,-z'
'-x+1/2,-y+1/2,z'
'x+1/2,y+1/2,-z'
'y,-x+1/2,z'
'-y,x+1/2,-z'
'x+1/2,-y,-z'
'-x+1/2,y,z'
'-y,-x,-z'
'y,x,z'
'-x,y+1/2,-z'
'x,-y+1/2,z'
'y+1/2,x+1/2,-z'
'-y+1/2,-x+1/2,z'
loop_
_atom_site_label
_atom_site_fract_x
_atom_site_fract_y
_atom_site_fract_z
_atom_site_occupancy
K1 0.250 0.750 0.000 1
Na1 0.250 0.250 0.241 1
Sm1 0.250 0.750 0.500 1
Ta1 0.250 0.250 0.739 1
O1 0.019 0.019 0.668 1
O2 0.250 0.250 0.962 1
```

Principal peaks in the range 2θ = 10–80°, in order of falling intensity:
index  two_theta  I (rel.)
1 1 2  30.70  100
1 0 1  18.75  63
2 0 0  31.14  40
0 0 1  10.59  38
3 1 2  55.13  38
2 2 0  44.62  27
2 0 4  54.30  25
2 1 1  36.60  20
1 1 1  24.37  16
2 2 4  63.93  12

---

(8)
Calculated powder diffraction line list
Compound: BiHSe2O6
Radiation: Cu Kα
Structure: a structure optimized by DFT (GGA-PBE)

Atomic structure:
```
data_BiHSe2O6
_space_group_name_H-M_alt 'C 1 c 1'
_space_group_IT_number 9
_space_group_name_Hall 'C -2yc'
_cell_length_a 5.782
_cell_length_b 7.155
_cell_length_c 17.537
_cell_angle_alpha 90.00
_cell_angle_beta 98.54
_cell_angle_gamma 90.00
loop_
_atom_site_label
_atom_site_fract_x
_atom_site_fract_y
_atom_site_fract_z
_atom_site_occupancy
Bi1 0.000 0.076 0.000 1
H1 0.078 0.233 0.730 1
Se1 0.060 0.439 0.626 1
Se2 0.455 0.022 0.390 1
O1 0.001 0.382 0.986 1
O2 0.101 0.369 0.727 1
O3 0.185 0.366 0.404 1
O4 0.220 0.119 0.899 1
O5 0.275 0.308 0.593 1
O6 0.317 0.191 0.092 1
```

Principal peaks in the range 2θ = 10–80°, in order of falling intensity:
index  two_theta  I (rel.)
0 0 2  10.20  100
1 1 -4  26.95  41
1 1 4  30.35  27
1 1 2  23.44  24
0 2 1  25.42  23
0 0 8  41.65  17
1 1 -6  34.96  15
2 0 0  31.29  12
0 2 0  24.89  11
2 0 -2  31.46  10